[1]
Diffraction record for LiSmSn4. The XRD peak list is theoretical, not measured: it uses a structure optimized by DFT (PBE) and Cu Kα (λ = 1.5418 Å).
Kinematic intensities with the Lorentz-polarization factor, no thermal factor.

Top 10 peaks for 5 to 70 degrees two-theta, sorted by position:
17.61°, I = 35
20.36°, I = 14
28.95°, I = 14
34.08°, I = 100
35.65°, I = 57
41.40°, I = 12
45.31°, I = 10
54.66°, I = 35
59.98°, I = 31
63.03°, I = 8

Cell and atoms:
```
data_LiSmSn4
_cell_length_a 8.725
_cell_length_b 8.725
_cell_length_c 8.725
_cell_angle_alpha 90.00
_cell_angle_beta 90.00
_cell_angle_gamma 90.00
_symmetry_space_group_name_H-M 'F -4 3 m'
_symmetry_Int_Tables_number 216
_symmetry_space_group_name_Hall 'F -4 2 3'
loop_
_atom_site_label
_atom_site_type_symbol
_atom_site_fract_x
_atom_site_fract_y
_atom_site_fract_z
Li1 Li 0.000 0.000 0.000
Sm1 Sm 0.250 0.250 0.750
Sn1 Sn 0.125 0.125 0.375
```

[2]
Diffraction record for Ir4RuW. The XRD peak list is theoretical, not measured: it uses a structure optimized by DFT (PBE) and Cu Kα (λ = 1.5418 Å).
Kinematic intensities with the Lorentz-polarization factor, no thermal factor.

Top 10 peaks for 5 to 70 degrees two-theta, sorted by position:
32.74°, I = 23
34.98°, I = 38
36.43°, I = 14
40.02°, I = 67
40.46°, I = 32
41.75°, I = 91
45.92°, I = 100
54.05°, I = 17
54.18°, I = 22
68.63°, I = 14

Cell and atoms:
```
data_Ir4RuW
_cell_length_a 5.470
_cell_length_b 14.797
_cell_length_c 4.506
_cell_angle_alpha 90.00
_cell_angle_beta 90.00
_cell_angle_gamma 90.00
_symmetry_space_group_name_H-M 'C m c m'
_symmetry_Int_Tables_number 63
_symmetry_space_group_name_Hall '-C 2c 2'
loop_
_atom_site_label
_atom_site_type_symbol
_atom_site_fract_x
_atom_site_fract_y
_atom_site_fract_z
Ir1 Ir 0.247 0.039 0.250
Ir2 Ir 0.250 0.145 0.750
Ru1 Ru 0.000 0.196 0.250
W1 W 0.000 0.304 0.750
```